No. 1
Structure and simulated powder diffractogram of NaLiAcSn2 (the PBE geometry in Alexandria; Cu Kα (λ = 1.5418 Å)).
Neutral-atom scattering factors, no anomalous dispersion.

Structural model:
abc: 4.665 4.665 13.407
angles: 90.00 90.00 90.00
Space group I-4m2 (No. 119)
Inequivalent atoms, fractional coordinates:
Na 0.000 0.000 0.000 x2
Li 0.000 0.000 0.500 x2
Ac 0.000 0.500 0.750 x2
Sn 0.000 0.500 0.143 x4

Main lines, in order of rising 2θ (15° ≤ 2θ ≤ 90°):
- 2θ = 27.0°, I 95
- 2θ = 27.6°, I 100
- 2θ = 30.2°, I 72
- 2θ = 38.6°, I 49
- 2θ = 38.7°, I 84
- 2θ = 41.0°, I 21
- 2θ = 48.1°, I 45
- 2θ = 55.8°, I 76
- 2θ = 76.7°, I 25
- 2θ = 82.8°, I 26

***

No. 2
Structure and simulated powder diffractogram of TbPm5Tm5 (the PBE geometry in Alexandria; Cu Kα (λ = 1.5418 Å)).
Neutral-atom scattering factors, no anomalous dispersion.

Structural model:
abc: 6.0521 6.0521 11.7873
angles: 90.00 90.00 120.00
Space group P-6m2 (No. 187)
Inequivalent atoms, fractional coordinates:
Tb 0.0000 0.0000 0.0000 x1
Pm 0.0000 0.0000 0.3155 x2
Pm 0.3333 0.6667 0.1526 x2
Pm 0.6667 0.3333 0.0000 x1
Tm 0.5003 0.0005 0.5000 x3
Tm 0.6667 0.3333 0.2660 x2

Main lines, in order of rising 2θ (15° ≤ 2θ ≤ 90°):
- 2θ = 28.4°, I 100
- 2θ = 29.5°, I 85
- 2θ = 30.5°, I 33
- 2θ = 33.3°, I 27
- 2θ = 34.9°, I 36
- 2θ = 35.1°, I 35
- 2θ = 37.5°, I 55
- 2θ = 46.4°, I 28
- 2θ = 51.7°, I 38
- 2θ = 61.3°, I 29

***

No. 3
Structure and simulated powder diffractogram of CaSm7Dy4 (the PBE geometry in Alexandria; Cu Kα (λ = 1.5418 Å)).
Neutral-atom scattering factors, no anomalous dispersion.

Structural model:
abc: 6.311 7.296 8.989
angles: 90.11 103.60 90.05
Space group P-1 (No. 2)
Inequivalent atoms, fractional coordinates:
Ca 0.000 0.000 0.000 x1
Sm 0.000 0.500 0.000 x1
Sm 0.226 0.000 0.660 x2
Sm 0.283 0.254 0.338 x2
Sm 0.499 0.742 0.001 x2
Dy 0.220 0.500 0.668 x2
Dy 0.282 0.745 0.337 x2

Main lines, in order of rising 2θ (15° ≤ 2θ ≤ 90°):
- 2θ = 28.5°, I 33
- 2θ = 29.1°, I 27
- 2θ = 30.7°, I 53
- 2θ = 31.5°, I 100
- 2θ = 33.1°, I 95
- 2θ = 50.0°, I 41
- 2θ = 53.9°, I 13
- 2θ = 57.2°, I 14
- 2θ = 59.9°, I 31
- 2θ = 60.3°, I 15

***

No. 4
Structure and simulated powder diffractogram of Cs2MgTl2Cd (the PBE geometry in Alexandria; Cu Kα (λ = 1.5418 Å)).
Neutral-atom scattering factors, no anomalous dispersion.

Structural model:
abc: 6.609 17.381 8.889
angles: 90.00 90.00 90.00
Space group Ibam (No. 72)
Inequivalent atoms, fractional coordinates:
Cs 0.241 0.174 0.000 x8
Mg 0.000 0.500 0.250 x4
Tl 0.243 0.427 0.000 x8
Cd 0.000 0.000 0.250 x4

Main lines, in order of rising 2θ (15° ≤ 2θ ≤ 90°):
- 2θ = 20.0°, I 33
- 2θ = 26.5°, I 100
- 2θ = 27.0°, I 16
- 2θ = 28.7°, I 14
- 2θ = 33.8°, I 43
- 2θ = 39.2°, I 35
- 2θ = 40.6°, I 13
- 2θ = 46.5°, I 13
- 2θ = 47.4°, I 20
- 2θ = 56.2°, I 12

***

> Which formula does entry 2 have?

TbPm5Tm5